This entry pairs a crystal structure of K3BePCO7 with its computed powder diffraction line list. Radiation: Cu Kα, 1.54184 Å. Structure: a structure optimized by DFT (GGA-PBE).
Neutral-atom scattering factors, no anomalous dispersion.

Structural model:
a = 5.2501 Å, b = 8.3631 Å, c = 9.2609 Å
α = 90.00°, β = 93.88°, γ = 90.00°
Fractional positions:
K: 0.2492 0.0044 0.2084
K: 0.2492 0.4956 0.2084
K: 0.2499 0.7500 0.5876
K: 0.7501 0.2500 0.4124
K: 0.7508 0.5044 0.7916
K: 0.7508 0.9956 0.7916
Be: 0.2111 0.2500 0.8785
Be: 0.7889 0.7500 0.1215
P: 0.2693 0.7500 0.9369
P: 0.7307 0.2500 0.0631
C: 0.3073 0.2500 0.6089
C: 0.6927 0.7500 0.3911
O: 0.0399 0.7500 0.0390
O: 0.1340 0.2500 0.7086
O: 0.2306 0.2500 0.4732
O: 0.2555 0.5968 0.8455
O: 0.2555 0.9032 0.8455
O: 0.4571 0.7500 0.3481
O: 0.4748 0.2500 0.9641
O: 0.5252 0.7500 0.0359
O: 0.5429 0.2500 0.6519
O: 0.7445 0.0968 0.1545
O: 0.7445 0.4032 0.1545
O: 0.7694 0.7500 0.5268
O: 0.8660 0.7500 0.2914
O: 0.9601 0.2500 0.9610

Top 10 peaks for 15° ≤ 2θ ≤ 90°, by angle:
4.439 Å, I 28, hkl 1 1 0
4.182 Å, I 40, hkl 0 2 0
3.121 Å, I 74, hkl 1 2 -1
3.100 Å, I 100, hkl 0 2 2
3.041 Å, I 70, hkl 1 2 1
2.737 Å, I 34, hkl 1 0 -3
2.619 Å, I 44, hkl 2 0 0
2.480 Å, I 38, hkl 0 2 3
2.091 Å, I 36, hkl 0 4 0
2.065 Å, I 23, hkl 2 0 -3